The following is a simulated X-ray powder pattern of KFeBiO4. It was derived from a cell relaxed with GGA+U, using Cu Ka.
Peak positions follow from Bragg's law for the DFT cell and can differ from measured ones.

Atomic structure:
Cell: 5.9833 6.0651 7.6007 Å, 90.00 112.88 90.00°
Space group P2_1/m (No. 11)
One atom of each set of equivalent atoms:
K (0.2209, 0.2500, 0.0589) [2 per cell]
Fe (0.4246, 0.2500, 0.6665) [2 per cell]
Bi (0.1621, 0.7500, 0.4682) [2 per cell]
O (0.2047, 0.0252, 0.6788) [4 per cell]
O (0.2383, 0.7500, 0.1963) [2 per cell]
O (0.4377, 0.2500, 0.4256) [2 per cell]

Principal peaks in the range 5° ≤ 2θ ≤ 70°, most intense first:
2θ/deg	d (Å)	I/Imax	hkl
12.64	7.003	100	0 0 1
21.82	4.074	48	1 1 -1
29.45	3.032	40	0 2 0
28.31	3.152	26	1 1 1
38.53	2.336	26	1 1 -3
33.40	2.683	22	2 1 -1